Entry 1:
Simulated X-ray diffraction stick pattern
Compound: Ce2Ho3Se6
Radiation: Cu Kα (weighted mean of Kα1 and Kα2)
Structure: a PBE-relaxed structure
Intensities are scaled so that the largest is 100.

Cell lengths 7.075, 7.075, 7.196 Å; angles 99.46, 99.46, 119.92 degrees
Positions (direct):
Ce 0.166 0.834 0.000
Ce 0.834 0.166 0.000
Ho 0.000 0.000 0.500
Ho 0.334 0.666 0.500
Ho 0.666 0.334 0.500
Se 0.085 0.413 0.741
Se 0.258 0.258 0.257
Se 0.413 0.085 0.741
Se 0.587 0.915 0.259
Se 0.742 0.742 0.743
Se 0.915 0.587 0.259

Top 10 peaks for 10° ≤ 2θ ≤ 90°, low angle first:
- 2θ 13.0, d 6.797, I 9
- 2θ 26.7, d 3.343, I 8
- 2θ 30.8, d 2.907, I 100
- 2θ 43.8, d 2.068, I 38
- 2θ 44.3, d 2.043, I 36
- 2θ 54.9, d 1.672, I 19
- 2θ 64.1, d 1.454, I 12
- 2θ 72.3, d 1.307, I 17
- 2θ 73.1, d 1.294, I 11
- 2θ 81.2, d 1.184, I 12

---

Entry 2:
Simulated X-ray diffraction stick pattern
Compound: LiNd2TaO6
Radiation: Cu Kα (weighted mean of Kα1 and Kα2)
Structure: a PBE-relaxed structure
Intensities are scaled so that the largest is 100.

Cell lengths 5.726, 5.726, 5.726 Å; angles 59.63, 59.63, 59.63 degrees
Positions (direct):
Li 0.000 0.000 0.000
Nd 0.266 0.266 0.266
Nd 0.766 0.766 0.766
Ta 0.494 0.494 0.494
O 0.152 0.701 0.352
O 0.236 0.635 0.821
O 0.352 0.152 0.701
O 0.635 0.821 0.236
O 0.701 0.352 0.152
O 0.821 0.236 0.635

Top 10 peaks for 10° ≤ 2θ ≤ 90°, low angle first:
- 2θ 18.9, d 4.688, I 19
- 2θ 19.1, d 4.654, I 58
- 2θ 22.0, d 4.038, I 16
- 2θ 31.2, d 2.863, I 100
- 2θ 31.4, d 2.847, I 96
- 2θ 37.0, d 2.432, I 32
- 2θ 44.9, d 2.019, I 49
- 2θ 55.5, d 1.656, I 17
- 2θ 55.8, d 1.647, I 43
- 2θ 55.9, d 1.644, I 27

---

Entry 3:
Simulated X-ray diffraction stick pattern
Compound: Hf4Pd2C
Radiation: Cu Kα (weighted mean of Kα1 and Kα2)
Structure: a PBE-relaxed structure
Intensities are scaled so that the largest is 100.

Cell lengths 6.610, 11.621, 3.407 Å; angles 90.00, 90.00, 90.00 degrees
Positions (direct):
Hf 0.112 0.183 0.000
Hf 0.220 0.954 0.500
Hf 0.280 0.454 0.500
Hf 0.388 0.683 0.000
Hf 0.612 0.317 0.000
Hf 0.720 0.546 0.500
Hf 0.780 0.046 0.500
Hf 0.888 0.817 0.000
Pd 0.072 0.670 0.500
Pd 0.428 0.170 0.500
Pd 0.572 0.830 0.500
Pd 0.928 0.330 0.500
C 0.000 0.000 0.000
C 0.500 0.500 0.000

Top 10 peaks for 10° ≤ 2θ ≤ 90°, low angle first:
- 2θ 30.4, d 2.937, I 69
- 2θ 31.1, d 2.873, I 43
- 2θ 33.4, d 2.685, I 40
- 2θ 33.7, d 2.660, I 100
- 2θ 37.7, d 2.386, I 87
- 2θ 38.7, d 2.324, I 88
- 2θ 41.1, d 2.196, I 33
- 2θ 43.9, d 2.060, I 39
- 2θ 53.8, d 1.703, I 29
- 2θ 65.0, d 1.434, I 30